ScHSe2: theoretical powder XRD pattern (Cu Kα X-rays), based on a crystal structure in Alexandria, relaxed with GGA-PBE.

Main lines, low angle first (5 to 70 degrees two-theta):
4.902 Å, 18.10°, intensity 280, (1 1 0)
3.308 Å, 26.95°, intensity 547, (0 2 1)
3.092 Å, 28.87°, intensity 199, (2 0 0)
3.033 Å, 29.45°, intensity 216, (2 0 -2)
2.910 Å, 30.72°, intensity 579, (0 0 2)
2.682 Å, 33.41°, intensity 1000, (2 2 -1)
2.010 Å, 45.11°, intensity 212, (0 4 0)
1.988 Å, 45.62°, intensity 331, (2 2 1)
1.957 Å, 46.41°, intensity 367, (2 2 -3)
1.654 Å, 55.57°, intensity 256, (0 4 2)

Structural model:
```
ScHSe2
1.0
7.2031 0.0000 0.0000
0.0000 8.0401 0.0000
-3.4753 0.0000 5.8208
Sc H Se
4 4 8
Direct
0.0000 0.1338 0.2500
0.0000 0.8662 0.7500
0.5000 0.3662 0.7500
0.5000 0.6338 0.2500
0.0000 0.1806 0.7500
0.0000 0.8194 0.2500
0.5000 0.3194 0.2500
0.5000 0.6806 0.7500
0.2248 0.1295 0.7182
0.2248 0.8705 0.2182
0.2752 0.3705 0.2818
0.2752 0.6295 0.7818
0.7248 0.3705 0.2182
0.7248 0.6295 0.7182
0.7752 0.1295 0.7818
0.7752 0.8705 0.2818
```